This entry pairs a crystal structure of Nd5S8 with its computed XRD peak list. Radiation: λ = 1.5418 Å (Cu Kα). Structure: a DFT-relaxed cell (PBE, the Materials Project).
Lines closer than 0.1° are merged.

Top 6 peaks for 2θ = 10–90°, sorted by position:
- 2θ = 13.0°, rel. 52
- 2θ = 25.0°, rel. 100
- 2θ = 30.2°, rel. 48
- 2θ = 39.6°, rel. 49
- 2θ = 43.3°, rel. 69
- 2θ = 60.1°, rel. 24

abc: 8.3635 8.3635 8.3635
angles: 60.00 60.00 60.00
Sites, in units of the cell vectors:
Nd  0.0000  0.0000  0.0000
Nd  0.1368  0.6211  0.6211
Nd  0.6211  0.1368  0.6211
Nd  0.6211  0.6211  0.1368
Nd  0.6211  0.6211  0.6211
S  0.3861  0.3861  0.3861
S  0.3861  0.3861  0.8416
S  0.3861  0.8416  0.3861
S  0.4000  0.8667  0.8667
S  0.8416  0.3861  0.3861
S  0.8667  0.4000  0.8667
S  0.8667  0.8667  0.4000
S  0.8667  0.8667  0.8667